[1]
For AcCdGa4Cu2, a crystal structure in Alexandria, relaxed with GGA-PBE gives the calculated powder diffraction line list in this record (Cu Kα).
Kinematic intensities with the Lorentz-polarization factor, no thermal factor.

Largest 12 diffraction maxima, by intensity, 2θ from 10° to 80°:
- 33.77 deg, intensity 100.0, hkl 0 1 8
- 41.99 deg, intensity 81.9, hkl 1 1 0
- 24.60 deg, intensity 39.5, hkl 0 1 2
- 38.32 deg, intensity 33.1, hkl 1 0 10
- 54.93 deg, intensity 24.4, hkl 2 0 8
- 26.66 deg, intensity 22.1, hkl 1 0 4
- 56.20 deg, intensity 21.9, hkl 1 1 12
- 71.47 deg, intensity 21.7, hkl 1 2 8
- 66.72 deg, intensity 15.5, hkl 0 1 20
- 35.61 deg, intensity 13.8, hkl 0 0 12
- 76.71 deg, intensity 13.3, hkl 3 0 0
- 31.70 deg, intensity 11.8, hkl 1 0 7

Structure:
abc: 4.3036 4.3036 30.2511
angles: 90.00 90.00 120.00
Space group R-3m (No. 166, hexagonal axes)
Symmetry-distinct sites (fractional):
Ac 0.0000 0.0000 0.0000 x3
Cd 0.0000 0.0000 0.5000 x3
Ga 0.0000 0.0000 0.1153 x6
Ga 0.0000 0.0000 0.4029 x6
Cu 0.0000 0.0000 0.2466 x6

[2]
For AcCd2CuO4, a crystal structure in Alexandria, relaxed with GGA-PBE gives the calculated powder diffraction line list in this record (Cu Kα).
Kinematic intensities with the Lorentz-polarization factor, no thermal factor.

Largest 12 diffraction maxima, by intensity, 2θ from 10° to 80°:
- 30.76 deg, intensity 100.0, hkl 1 1 2
- 38.01 deg, intensity 73.8, hkl 1 3 2
- 28.18 deg, intensity 67.0, hkl 0 2 3
- 30.99 deg, intensity 55.0, hkl 0 4 0
- 35.36 deg, intensity 42.0, hkl 1 3 1
- 53.47 deg, intensity 37.1, hkl 0 6 3
- 49.82 deg, intensity 33.5, hkl 1 5 2
- 31.49 deg, intensity 33.3, hkl 0 0 4
- 48.24 deg, intensity 24.2, hkl 1 1 5
- 44.76 deg, intensity 23.3, hkl 0 4 4
- 27.51 deg, intensity 20.9, hkl 1 1 1
- 51.68 deg, intensity 20.7, hkl 2 0 0

Structure:
abc: 3.538 11.544 11.366
angles: 90.00 90.00 90.00
Space group Cmcm (No. 63)
Symmetry-distinct sites (fractional):
Ac 0.000 0.114 0.250 x4
Cd 0.000 0.373 0.050 x8
Cu 0.000 0.145 0.750 x4
O 0.000 0.000 0.000 x4
O 0.000 0.281 0.624 x8
O 0.000 0.449 0.250 x4